Record 1
# Gd4C2F5
Computed XRD peak list, λ = 1.5418 Å (Cu Kα). Input: a structure optimized by DFT (PBE).

Top 12 peaks for 2θ from 10° to 90°, by intensity:
Position (°2θ), I_rel, hkl
37.9, 100, 1 2 1
48.7, 100, 1 2 5
30.7, 83, 1 0 3
30.1, 78, 0 2 2
22.7, 53, 0 1 3
24.0, 50, 0 0 4
30.9, 50, 1 1 2
14.9, 42, 0 1 1
28.4, 36, 1 1 0
36.4, 36, 0 0 6
33.3, 30, 0 1 5
56.9, 25, 0 4 0

Crystal structure
```
data_Gd4C2F5
_chemical_formula_sum 'Gd8 C4 F10'
_cell_length_a 3.601
_cell_length_b 6.473
_cell_length_c 14.809
_cell_angle_alpha 90.00
_cell_angle_beta 90.00
_cell_angle_gamma 90.00
_symmetry_space_group_name_H-M 'I m m m'
_symmetry_Int_Tables_number 71
_symmetry_space_group_name_Hall '-I 2 2'
loop_
_atom_site_label
_atom_site_fract_x
_atom_site_fract_y
_atom_site_fract_z
Gd1 0.000 0.000 0.193
Gd2 0.000 0.264 0.500
C1 0.000 0.000 0.049
F1 0.000 0.261 0.315
F2 0.000 0.500 0.000
```

Record 2
# NdGdCF2
Computed XRD peak list, λ = 1.5418 Å (Cu Kα). Input: a structure optimized by DFT (PBE).

Top 12 peaks for 2θ from 10° to 90°, by intensity:
Position (°2θ), I_rel, hkl
30.9, 100, 1 0 1
27.6, 59, 0 0 2
39.4, 39, 0 1 2
48.8, 31, 1 1 0
50.8, 30, 1 0 3
56.9, 26, 1 1 2
58.9, 17, 0 2 1
79.9, 14, 2 1 1
73.1, 10, 0 2 3
64.3, 9, 0 1 4
64.4, 9, 2 0 2
84.8, 8, 1 2 2

Crystal structure
```
data_NdGdCF2
_chemical_formula_sum 'Nd1 Gd1 C1 F2'
_cell_length_a 3.7325
_cell_length_b 3.7325
_cell_length_c 6.4815
_cell_angle_alpha 90.00
_cell_angle_beta 90.00
_cell_angle_gamma 120.00
_symmetry_space_group_name_H-M 'P 3 m 1'
_symmetry_Int_Tables_number 156
loop_
_symmetry_equiv_pos_as_xyz
'x,y,z'
'-y,x-y,z'
'-x+y,-x,z'
'-y,-x,z'
'-x+y,y,z'
'x,x-y,z'
loop_
_atom_site_label
_atom_site_fract_x
_atom_site_fract_y
_atom_site_fract_z
Nd1 0.0000 0.0000 0.0000
Gd1 0.6667 0.3333 0.4324
C1 0.3333 0.6667 0.2186
F1 0.0000 0.0000 0.5908
F2 0.6667 0.3333 0.8134
```